Entry 1:
This entry pairs a crystal structure of LaSi2Pt2 with its computed X-ray diffraction stick pattern. Radiation: Cu Kα. Structure: a cell relaxed with PBE.
Kinematic intensities with the Lorentz-polarization factor, no thermal factor.

Largest 10 diffraction maxima, sorted by position, 10 to 90 degrees two-theta:
d (Å)  I (rel.)
3.989  16
3.072  73
2.654  100
2.172  44
1.946  15
1.825  13
1.681  52
1.536  15
1.374  13
1.134  15

Atomic structure:
```
data_LaSi2Pt2
_space_group_name_H-M_alt 'I 4/m m m'
_space_group_IT_number 139
_space_group_name_Hall '-I 4 2'
_cell_length_a 4.3448
_cell_length_b 4.3448
_cell_length_c 10.0583
_cell_angle_alpha 90.00
_cell_angle_beta 90.00
_cell_angle_gamma 90.00
loop_
_atom_site_label
_atom_site_type_symbol
_atom_site_fract_x
_atom_site_fract_y
_atom_site_fract_z
La1 La 0.0000 0.0000 0.0000
Si1 Si 0.0000 0.5000 0.2500
Pt1 Pt 0.0000 0.0000 0.3626
```

---

Entry 2:
This entry pairs a crystal structure of LaSi2Pt2 with its computed X-ray diffraction stick pattern. Radiation: Cu Kα. Structure: a cell relaxed with PBE.
Kinematic intensities with the Lorentz-polarization factor, no thermal factor.

Largest 10 diffraction maxima, sorted by position, 10 to 90 degrees two-theta:
d (Å)  I (rel.)
5.001  28
2.636  12
2.601  100
2.501  18
2.153  36
1.932  14
1.631  20
1.522  12
1.462  17
1.314  24

Atomic structure:
```
data_LaSi2Pt2
_space_group_name_H-M_alt 'I 4/m m m'
_space_group_IT_number 139
_space_group_name_Hall '-I 4 2'
_cell_length_a 4.3054
_cell_length_b 4.3054
_cell_length_c 10.0029
_cell_angle_alpha 90.00
_cell_angle_beta 90.00
_cell_angle_gamma 90.00
loop_
_atom_site_label
_atom_site_type_symbol
_atom_site_fract_x
_atom_site_fract_y
_atom_site_fract_z
La1 La 0.0000 0.0000 0.0000
Si1 Si 0.0000 0.0000 0.3772
Pt1 Pt 0.0000 0.5000 0.2500
```

---

Entry 3:
This entry pairs a crystal structure of LaSiPt with its computed X-ray diffraction stick pattern. Radiation: Cu Kα. Structure: a cell relaxed with PBE.
Kinematic intensities with the Lorentz-polarization factor, no thermal factor.

Largest 10 diffraction maxima, sorted by position, 10 to 90 degrees two-theta:
d (Å)  I (rel.)
4.107  16
3.222  44
2.797  100
2.422  50
2.139  38
1.885  22
1.782  17
1.603  28
1.414  17
1.330  20

Atomic structure:
```
data_LaSiPt
_space_group_name_H-M_alt 'I 41 m d'
_space_group_IT_number 109
_space_group_name_Hall 'I 4bw -2'
_cell_length_a 4.2778
_cell_length_b 4.2778
_cell_length_c 14.6942
_cell_angle_alpha 90.00
_cell_angle_beta 90.00
_cell_angle_gamma 90.00
loop_
_atom_site_label
_atom_site_type_symbol
_atom_site_fract_x
_atom_site_fract_y
_atom_site_fract_z
La1 La 0.0000 0.0000 0.0000
Si1 Si 0.0000 0.0000 0.4195
Pt1 Pt 0.0000 0.0000 0.5869
```

---

Entry 4:
This entry pairs a crystal structure of SrLaPt2 with its computed X-ray diffraction stick pattern. Radiation: Cu Kα. Structure: a cell relaxed with PBE.
Kinematic intensities with the Lorentz-polarization factor, no thermal factor.

Largest 10 diffraction maxima, sorted by position, 10 to 90 degrees two-theta:
d (Å)  I (rel.)
4.227  1
3.661  8
2.589  100
2.114  3
1.830  18
1.637  4
1.495  37
1.294  12
1.220  2
1.158  17

Atomic structure:
```
data_SrLaPt2
_space_group_name_H-M_alt 'F m -3 m'
_space_group_IT_number 225
_space_group_name_Hall '-F 4 2 3'
_cell_length_a 7.3216
_cell_length_b 7.3216
_cell_length_c 7.3216
_cell_angle_alpha 90.00
_cell_angle_beta 90.00
_cell_angle_gamma 90.00
loop_
_atom_site_label
_atom_site_type_symbol
_atom_site_fract_x
_atom_site_fract_y
_atom_site_fract_z
Sr1 Sr 0.0000 0.0000 0.0000
La1 La 0.0000 0.0000 0.5000
Pt1 Pt 0.2500 0.2500 0.2500
```

---

Entry 5:
This entry pairs a crystal structure of RbLaSiS4 with its computed X-ray diffraction stick pattern. Radiation: Cu Kα. Structure: a cell relaxed with PBE.
Kinematic intensities with the Lorentz-polarization factor, no thermal factor.

Largest 10 diffraction maxima, sorted by position, 10 to 90 degrees two-theta:
d (Å)  I (rel.)
8.785  95
4.712  51
3.671  60
3.348  66
3.213  48
3.103  100
2.816  43
2.662  80
2.276  68
2.086  82

Atomic structure:
```
data_RbLaSiS4
_space_group_name_H-M_alt 'P n m a'
_space_group_IT_number 62
_space_group_name_Hall '-P 2ac 2n'
_cell_length_a 17.5694
_cell_length_b 6.6958
_cell_length_c 6.6331
_cell_angle_alpha 90.00
_cell_angle_beta 90.00
_cell_angle_gamma 90.00
loop_
_atom_site_label
_atom_site_type_symbol
_atom_site_fract_x
_atom_site_fract_y
_atom_site_fract_z
Rb1 Rb 0.2164 0.2500 0.0354
La1 La 0.0249 0.7500 0.7132
Si1 Si 0.0880 0.7500 0.2153
S1 S 0.0294 0.2500 0.8704
S2 S 0.1067 0.0002 0.4092
S3 S 0.1610 0.7500 0.9620
```

---

Entry 6:
This entry pairs a crystal structure of La2Rh7 with its computed X-ray diffraction stick pattern. Radiation: Cu Kα. Structure: a cell relaxed with PBE.
Kinematic intensities with the Lorentz-polarization factor, no thermal factor.

Largest 10 diffraction maxima, sorted by position, 10 to 90 degrees two-theta:
d (Å)  I (rel.)
2.939  34
2.671  30
2.305  29
2.289  100
2.220  24
2.122  26
1.534  14
1.457  23
1.335  24
1.144  16

Atomic structure:
```
data_La2Rh7
_space_group_name_H-M_alt 'P 63/m m c'
_space_group_IT_number 194
_space_group_name_Hall '-P 6c 2c'
_cell_length_a 5.3421
_cell_length_b 5.3421
_cell_length_c 26.6375
_cell_angle_alpha 90.00
_cell_angle_beta 90.00
_cell_angle_gamma 120.00
loop_
_atom_site_label
_atom_site_type_symbol
_atom_site_fract_x
_atom_site_fract_y
_atom_site_fract_z
La1 La 0.3333 0.6667 0.0300
La2 La 0.3333 0.6667 0.1746
Rh1 Rh 0.0000 0.0000 0.0000
Rh2 Rh 0.0000 0.0000 0.1673
Rh3 Rh 0.1667 0.3334 0.7500
Rh4 Rh 0.1670 0.3340 0.5855
Rh5 Rh 0.3333 0.6667 0.6668
```

---

Entry 7:
This entry pairs a crystal structure of La7Rh3 with its computed X-ray diffraction stick pattern. Radiation: Cu Kα. Structure: a cell relaxed with PBE.
Kinematic intensities with the Lorentz-polarization factor, no thermal factor.

Largest 10 diffraction maxima, sorted by position, 10 to 90 degrees two-theta:
d (Å)  I (rel.)
3.049  35
2.995  100
2.706  48
2.625  38
2.579  35
1.947  19
1.750  22
1.733  19
1.723  22
1.719  18

Atomic structure:
```
data_La7Rh3
_space_group_name_H-M_alt 'P 63 m c'
_space_group_IT_number 186
_space_group_name_Hall 'P 6c -2c'
_cell_length_a 10.3159
_cell_length_b 10.3159
_cell_length_c 6.4882
_cell_angle_alpha 90.00
_cell_angle_beta 90.00
_cell_angle_gamma 120.00
loop_
_atom_site_label
_atom_site_type_symbol
_atom_site_fract_x
_atom_site_fract_y
_atom_site_fract_z
La1 La 0.0844 0.5422 0.0000
La2 La 0.1251 0.2502 0.6710
La3 La 0.3333 0.6667 0.4740
Rh1 Rh 0.1900 0.3799 0.2631
```

---

Entry 8:
This entry pairs a crystal structure of La2Rh7 with its computed X-ray diffraction stick pattern. Radiation: Cu Kα. Structure: a cell relaxed with PBE.
Kinematic intensities with the Lorentz-polarization factor, no thermal factor.

Largest 10 diffraction maxima, sorted by position, 10 to 90 degrees two-theta:
d (Å)  I (rel.)
3.023  20
2.856  20
2.669  30
2.308  30
2.288  100
2.220  28
2.097  36
1.456  23
1.335  24
1.144  17

Atomic structure:
```
data_La2Rh7
_space_group_name_H-M_alt 'R -3 m'
_space_group_IT_number 166
_space_group_name_Hall '-R 3 2"'
_cell_length_a 5.3384
_cell_length_b 5.3384
_cell_length_c 39.9513
_cell_angle_alpha 90.00
_cell_angle_beta 90.00
_cell_angle_gamma 120.00
loop_
_atom_site_label
_atom_site_type_symbol
_atom_site_fract_x
_atom_site_fract_y
_atom_site_fract_z
La1 La 0.0000 0.0000 0.0503
La2 La 0.0000 0.0000 0.1467
Rh1 Rh 0.0000 0.0000 0.2777
Rh2 Rh 0.0000 0.0000 0.3885
Rh3 Rh 0.0000 0.0000 0.5000
Rh4 Rh 0.0000 0.5000 0.0000
Rh5 Rh 0.9998 0.4999 0.1097
```